1.
The following is a computed XRD peak list of Ba3Pm. It was derived from DFT lattice parameters and positions (GGA-PBE), using a wavelength of 1.5418 Å.

Principal peaks in the range 2θ from 5° to 70°, low angle first:
2θ/deg  I (rel.)  hkl
24.13  23  2 0 0
26.36  25  0 0 2
27.54  100  2 0 1
42.45  20  2 2 0
47.26  23  2 0 3
50.66  24  2 2 2

Lattice parameters (Å, degrees): 8.5185 8.5185 6.7628 90.00 90.00 120.00
Space group P6_3/mmc (No. 194)
Inequivalent atoms, fractional coordinates:
Ba 0.1726 0.3451 0.2500
Pm 0.3333 0.6667 0.7500

---

2.
The following is a computed XRD peak list of Ba3Pm. It was derived from DFT lattice parameters and positions (GGA-PBE), using a wavelength of 1.5418 Å.

Principal peaks in the range 2θ from 5° to 70°, low angle first:
2θ/deg  I (rel.)  hkl
25.95  100  1 1 1
30.05  52  2 0 0
43.02  38  2 2 0
50.93  47  3 1 1
53.37  14  2 2 2
68.82  19  3 3 1

Lattice parameters (Å, degrees): 5.947 5.947 5.947 90.00 90.00 90.00
Space group Pm-3m (No. 221)
Inequivalent atoms, fractional coordinates:
Ba 0.000 0.000 0.500
Pm 0.500 0.500 0.500